# NbB3W
Theoretical powder diffractogram, CuKα. Input: a DFT-relaxed cell (PBE, Alexandria).
Intensities are scaled so that the largest is 100.

Structural model:
abc: 9.810 9.810 3.117
angles: 90.00 90.00 160.70
Fractional coordinates of all 10 atoms:
Nb 0.201 0.799 0.750
Nb 0.799 0.201 0.250
B 0.336 0.664 0.750
B 0.386 0.614 0.250
B 0.478 0.522 0.250
B 0.522 0.478 0.750
B 0.614 0.386 0.750
B 0.664 0.336 0.250
W 0.070 0.930 0.250
W 0.930 0.070 0.750

The 10 most intense peaks (10° ≤ 2θ ≤ 90°), low angle first:
- 2θ 27.51, I 80.7
- 2θ 34.22, I 100.0
- 2θ 37.19, I 34.5
- 2θ 42.34, I 99.7
- 2θ 42.74, I 60.9
- 2θ 46.50, I 30.7
- 2θ 55.93, I 30.8
- 2θ 67.22, I 28.7
- 2θ 67.46, I 27.5
- 2θ 75.81, I 22.3